This entry pairs a crystal structure of Na2FeGeF8 with its theoretical powder diffraction line list. Radiation: CuKα. Structure: a structure optimized by DFT (GGA+U).
Peak positions follow from Bragg's law for the DFT cell and can differ from measured ones.

a = 6.887 Å, b = 7.282 Å, c = 6.569 Å
α = 90.00°, β = 90.00°, γ = 90.00°
Space group Cmmm (No. 65)
Unique sites:
Na  0.000  0.000  0.248
Fe  0.000  0.500  0.000
Ge  0.000  0.500  0.500
F  0.000  0.327  0.294
F  0.222  0.000  0.000
F  0.236  0.000  0.500

Top 10 peaks for 15 to 90 degrees two-theta, by angle:
hkl, 2θ (°), I/Imax
1 1 0, 17.73, 100
0 2 0, 24.45, 87
2 0 0, 25.87, 54
1 1 2, 32.61, 68
0 2 2, 36.86, 49
3 1 0, 41.23, 20
1 3 2, 48.47, 61
0 4 0, 50.08, 45
4 0 0, 53.20, 20
3 3 2, 62.45, 33